[1]
CdPb4S5: computed XRD peak list (Cu Kα (λ = 1.5418 Å)), based on the GGA-PBE geometry in Alexandria.
Kinematic intensities with the Lorentz-polarization factor, no thermal factor.

Crystal structure
```
data_CdPb4S5
_chemical_formula_sum 'Cd2 Pb8 S10'
_cell_length_a 9.3045
_cell_length_b 9.3045
_cell_length_c 5.9842
_cell_angle_alpha 90.00
_cell_angle_beta 90.00
_cell_angle_gamma 90.00
_space_group_name_H-M_alt 'I 4'
_space_group_IT_number 79
_space_group_name_Hall 'I 4'
loop_
_atom_site_label
_atom_site_fract_x
_atom_site_fract_y
_atom_site_fract_z
_atom_site_occupancy
Cd1 0.0000 0.0000 0.0000 1
Pb1 0.1020 0.7029 0.4739 1
S1 0.0000 0.0000 0.4567 1
S2 0.0973 0.7205 0.9635 1
```

Top 6 peaks for 15 to 90 degrees two-theta, in order of rising 2θ:
hkl 1 2 1, 2θ = 26.1°, rel. 100; hkl 0 0 2, 2θ = 29.9°, rel. 36; hkl 3 1 0, 2θ = 30.4°, rel. 71; hkl 3 1 2, 2θ = 43.1°, rel. 54; hkl 5 0 1, 2θ = 51.4°, rel. 34; hkl 2 4 2, 2θ = 53.7°, rel. 27

---

[2]
Cd5Sb6Pb4: computed XRD peak list (Cu Kα (λ = 1.5418 Å)), based on the GGA-PBE geometry in Alexandria.
Kinematic intensities with the Lorentz-polarization factor, no thermal factor.

Crystal structure
```
data_Cd5Sb6Pb4
_chemical_formula_sum 'Cd20 Sb24 Pb16'
_cell_length_a 4.7351
_cell_length_b 22.2808
_cell_length_c 17.5000
_cell_angle_alpha 90.00
_cell_angle_beta 92.28
_cell_angle_gamma 90.00
_space_group_name_H-M_alt 'C 1 c 1'
_space_group_IT_number 9
_space_group_name_Hall 'C -2yc'
loop_
_atom_site_label
_atom_site_fract_x
_atom_site_fract_y
_atom_site_fract_z
_atom_site_occupancy
Cd1 0.0000 0.0705 0.0000 1
Cd2 0.0006 0.2158 0.0590 1
Cd3 0.0368 0.1290 0.6863 1
Cd4 0.0545 0.3664 0.0429 1
Cd5 0.4852 0.3540 0.9079 1
Sb1 0.0114 0.3680 0.5599 1
Sb2 0.0389 0.2946 0.1912 1
Sb3 0.0576 0.0555 0.5435 1
Sb4 0.0610 0.0938 0.2551 1
Sb5 0.4501 0.4280 0.3331 1
Sb6 0.4891 0.2245 0.4125 1
Pb1 0.0088 0.3062 0.7290 1
Pb2 0.0589 0.4776 0.6718 1
Pb3 0.4113 0.0207 0.3804 1
Pb4 0.4520 0.1682 0.8740 1
```

Top 6 peaks for 15 to 90 degrees two-theta, in order of rising 2θ:
hkl 1 5 0, 2θ = 27.5°, rel. 100; hkl 1 5 1, 2θ = 28.1°, rel. 31; hkl 1 5 2, 2θ = 29.6°, rel. 56; hkl 0 0 6, 2θ = 30.7°, rel. 50; hkl 1 5 -4, 2θ = 34.0°, rel. 45; hkl 2 0 0, 2θ = 38.0°, rel. 59

---

[3]
CdSbPb2: computed XRD peak list (Cu Kα (λ = 1.5418 Å)), based on the GGA-PBE geometry in Alexandria.
Kinematic intensities with the Lorentz-polarization factor, no thermal factor.

Crystal structure
```
data_CdSbPb2
_chemical_formula_sum 'Cd1 Sb1 Pb2'
_cell_length_a 4.0472
_cell_length_b 4.0472
_cell_length_c 7.1701
_cell_angle_alpha 90.00
_cell_angle_beta 90.00
_cell_angle_gamma 90.00
_space_group_name_H-M_alt 'P 4 m m'
_space_group_IT_number 99
_space_group_name_Hall 'P 4 -2'
loop_
_atom_site_label
_atom_site_fract_x
_atom_site_fract_y
_atom_site_fract_z
_atom_site_occupancy
Cd1 0.0000 0.0000 0.0000 1
Sb1 0.5000 0.5000 0.7692 1
Pb1 0.0000 0.0000 0.5443 1
Pb2 0.5000 0.5000 0.2202 1
```

Top 6 peaks for 15 to 90 degrees two-theta, in order of rising 2θ:
hkl 1 0 1, 2θ = 25.3°, rel. 20; hkl 1 1 0, 2θ = 31.3°, rel. 69; hkl 1 0 2, 2θ = 33.4°, rel. 100; hkl 2 0 0, 2θ = 44.8°, rel. 26; hkl 2 1 2, 2θ = 57.0°, rel. 44; hkl 3 1 0, 2θ = 74.1°, rel. 12

---

[4]
CdSb2Pb2: computed XRD peak list (Cu Kα (λ = 1.5418 Å)), based on the GGA-PBE geometry in Alexandria.
Kinematic intensities with the Lorentz-polarization factor, no thermal factor.

Crystal structure
```
data_CdSb2Pb2
_chemical_formula_sum 'Cd4 Sb8 Pb8'
_cell_length_a 9.7528
_cell_length_b 8.3983
_cell_length_c 7.7298
_cell_angle_alpha 90.00
_cell_angle_beta 90.76
_cell_angle_gamma 90.00
_space_group_name_H-M_alt 'P 1 21/c 1'
_space_group_IT_number 14
_space_group_name_Hall '-P 2ybc'
loop_
_atom_site_label
_atom_site_fract_x
_atom_site_fract_y
_atom_site_fract_z
_atom_site_occupancy
Cd1 0.1074 0.0800 0.1502 1
Sb1 0.1428 0.0932 0.7589 1
Sb2 0.3789 0.5697 0.7368 1
Pb1 0.1681 0.6971 0.0044 1
Pb2 0.4106 0.2383 0.4957 1
```

Top 6 peaks for 15 to 90 degrees two-theta, in order of rising 2θ:
hkl 2 1 0, 2θ = 21.1°, rel. 47; hkl 2 1 -2, 2θ = 31.2°, rel. 98; hkl 0 2 2, 2θ = 31.5°, rel. 100; hkl 2 1 2, 2θ = 31.6°, rel. 94; hkl 4 0 0, 2θ = 36.9°, rel. 40; hkl 2 3 0, 2θ = 37.0°, rel. 98

---

[5]
Cd5Sb3Pb2: computed XRD peak list (Cu Kα (λ = 1.5418 Å)), based on the GGA-PBE geometry in Alexandria.
Kinematic intensities with the Lorentz-polarization factor, no thermal factor.

Crystal structure
```
data_Cd5Sb3Pb2
_chemical_formula_sum 'Cd10 Sb6 Pb4'
_cell_length_a 4.6701
_cell_length_b 7.4180
_cell_length_c 16.2682
_cell_angle_alpha 90.00
_cell_angle_beta 92.28
_cell_angle_gamma 90.00
_space_group_name_H-M_alt 'P 1 21 1'
_space_group_IT_number 4
_space_group_name_Hall 'P 2yb'
loop_
_atom_site_label
_atom_site_fract_x
_atom_site_fract_y
_atom_site_fract_z
_atom_site_occupancy
Cd1 0.0298 0.0000 0.1064 1
Cd2 0.0748 0.2401 0.5648 1
Cd3 0.0888 0.5916 0.2709 1
Cd4 0.3784 0.9131 0.6306 1
Cd5 0.4629 0.8000 0.8019 1
Sb1 0.0116 0.4091 0.0881 1
Sb2 0.4001 0.5675 0.5280 1
Sb3 0.4543 0.3725 0.7905 1
Pb1 0.1115 0.0859 0.3274 1
Pb2 0.4993 0.7000 0.0324 1
```

Top 6 peaks for 15 to 90 degrees two-theta, in order of rising 2θ:
hkl 1 0 4, 2θ = 29.7°, rel. 63; hkl 1 1 -4, 2θ = 31.0°, rel. 90; hkl 1 2 -1, 2θ = 31.2°, rel. 77; hkl 1 2 1, 2θ = 31.4°, rel. 82; hkl 1 2 -2, 2θ = 32.5°, rel. 100; hkl 1 0 -5, 2θ = 33.0°, rel. 92

---

[6]
CdPbSe: computed XRD peak list (Cu Kα (λ = 1.5418 Å)), based on the GGA-PBE geometry in Alexandria.
Kinematic intensities with the Lorentz-polarization factor, no thermal factor.

Crystal structure
```
data_CdPbSe
_chemical_formula_sum 'Cd1 Pb1 Se1'
_cell_length_a 4.1872
_cell_length_b 4.1872
_cell_length_c 5.5996
_cell_angle_alpha 90.00
_cell_angle_beta 90.00
_cell_angle_gamma 120.00
_space_group_name_H-M_alt 'P 3 m 1'
_space_group_IT_number 156
_space_group_name_Hall 'P 3 -2"'
loop_
_atom_site_label
_atom_site_fract_x
_atom_site_fract_y
_atom_site_fract_z
_atom_site_occupancy
Cd1 0.0000 0.0000 0.0000 1
Pb1 0.3333 0.6667 0.3865 1
Se1 0.6667 0.3333 0.7240 1
```

Top 6 peaks for 15 to 90 degrees two-theta, in order of rising 2θ:
hkl 0 1 1, 2θ = 29.3°, rel. 100; hkl 1 0 2, 2θ = 40.7°, rel. 35; hkl 1 1 0, 2θ = 43.2°, rel. 31; hkl 2 0 1, 2θ = 53.1°, rel. 19; hkl 1 1 3, 2θ = 67.2°, rel. 14; hkl 1 2 1, 2θ = 70.8°, rel. 16

---

[7]
CdSiPb2: computed XRD peak list (Cu Kα (λ = 1.5418 Å)), based on the GGA-PBE geometry in Alexandria.
Kinematic intensities with the Lorentz-polarization factor, no thermal factor.

Crystal structure
```
data_CdSiPb2
_chemical_formula_sum 'Cd2 Si2 Pb4'
_cell_length_a 3.4599
_cell_length_b 5.4777
_cell_length_c 10.9834
_cell_angle_alpha 90.00
_cell_angle_beta 90.00
_cell_angle_gamma 90.00
_space_group_name_H-M_alt 'I m m 2'
_space_group_IT_number 44
_space_group_name_Hall 'I 2 -2'
loop_
_atom_site_label
_atom_site_fract_x
_atom_site_fract_y
_atom_site_fract_z
_atom_site_occupancy
Cd1 0.0000 0.0000 0.0000 1
Si1 0.0000 0.5000 0.2946 1
Pb1 0.0000 0.0000 0.5673 1
Pb2 0.0000 0.5000 0.7721 1
```

Top 6 peaks for 15 to 90 degrees two-theta, in order of rising 2θ:
hkl 1 0 1, 2θ = 27.0°, rel. 24; hkl 0 1 3, 2θ = 29.3°, rel. 41; hkl 0 2 0, 2θ = 32.7°, rel. 53; hkl 1 1 2, 2θ = 34.7°, rel. 100; hkl 1 3 2, 2θ = 59.7°, rel. 21; hkl 1 2 5, 2θ = 60.3°, rel. 16

---

[8]
CdSiPb: computed XRD peak list (Cu Kα (λ = 1.5418 Å)), based on the GGA-PBE geometry in Alexandria.
Kinematic intensities with the Lorentz-polarization factor, no thermal factor.

Crystal structure
```
data_CdSiPb
_chemical_formula_sum 'Cd1 Si1 Pb1'
_cell_length_a 4.5028
_cell_length_b 4.5028
_cell_length_c 4.3859
_cell_angle_alpha 90.00
_cell_angle_beta 90.00
_cell_angle_gamma 120.00
_space_group_name_H-M_alt 'P 3 m 1'
_space_group_IT_number 156
_space_group_name_Hall 'P 3 -2"'
loop_
_atom_site_label
_atom_site_fract_x
_atom_site_fract_y
_atom_site_fract_z
_atom_site_occupancy
Cd1 0.0000 0.0000 0.0000 1
Si1 0.6667 0.3333 0.9966 1
Pb1 0.3333 0.6667 0.4988 1
```

Top 6 peaks for 15 to 90 degrees two-theta, in order of rising 2θ:
hkl 1 0 0, 2θ = 22.8°, rel. 28; hkl 0 1 1, 2θ = 30.7°, rel. 100; hkl 1 1 0, 2θ = 40.0°, rel. 36; hkl 2 0 1, 2θ = 51.3°, rel. 24; hkl 1 1 2, 2θ = 58.8°, rel. 23; hkl 1 2 1, 2θ = 67.0°, rel. 22